# Na3Tl4Pb3
Computed powder XRD pattern, CuKα. Input: a structure optimized by DFT (PBE).
Kinematic intensities with the Lorentz-polarization factor, no thermal factor.

Most intense lines, 10 to 80 degrees two-theta, low angle first:
10.2 deg, intensity 17
21.8 deg, intensity 42
23.0 deg, intensity 26
30.2 deg, intensity 24
31.9 deg, intensity 100
32.7 deg, intensity 68
39.7 deg, intensity 43
44.5 deg, intensity 19
56.4 deg, intensity 30
59.0 deg, intensity 17

Crystal structure
```
Na3Tl4Pb3
1.0
4.069 0.000 0.000
0.000 6.104 6.131
0.000 -6.104 6.131
Na Tl Pb
3 4 3
Direct
0.000 0.000 0.000 Na
0.000 0.504 0.843 Na
0.000 0.843 0.504 Na
0.500 0.029 0.295 Tl
0.500 0.295 0.029 Tl
0.500 0.544 0.544 Tl
0.500 0.805 0.805 Tl
0.000 0.340 0.340 Pb
0.500 0.173 0.652 Pb
0.500 0.652 0.173 Pb
```



# NaTlPb
Computed powder XRD pattern, CuKα. Input: a structure optimized by DFT (PBE).
Kinematic intensities with the Lorentz-polarization factor, no thermal factor.

Most intense lines, 10 to 80 degrees two-theta, low angle first:
18.8 deg, intensity 29
24.5 deg, intensity 16
31.0 deg, intensity 100
32.4 deg, intensity 89
36.1 deg, intensity 67
38.1 deg, intensity 29
41.0 deg, intensity 17
53.5 deg, intensity 45
61.0 deg, intensity 30
63.4 deg, intensity 27

Crystal structure
```
NaTlPb
1.0
3.638 0.000 0.000
0.000 4.721 0.000
0.000 0.000 10.233
Na Tl Pb
2 2 2
Direct
0.000 0.000 0.000 Na
0.000 0.000 0.333 Na
0.000 0.000 0.669 Tl
0.500 0.500 0.503 Tl
0.500 0.500 0.164 Pb
0.500 0.500 0.832 Pb
```



# Na6Tl4Pb
Computed powder XRD pattern, CuKα. Input: a structure optimized by DFT (PBE).
Kinematic intensities with the Lorentz-polarization factor, no thermal factor.

Most intense lines, 10 to 80 degrees two-theta, low angle first:
20.2 deg, intensity 100
20.5 deg, intensity 30
26.4 deg, intensity 94
31.5 deg, intensity 72
33.2 deg, intensity 35
35.7 deg, intensity 64
39.7 deg, intensity 33
46.4 deg, intensity 50
56.1 deg, intensity 33
66.7 deg, intensity 29

Crystal structure
```
Na6Tl4Pb
1.0
8.675 0.000 0.000
-4.338 7.513 0.000
0.000 0.000 5.402
Na Tl Pb
6 4 1
Direct
0.128 0.416 0.000 Na
0.272 0.087 0.500 Na
0.288 0.872 0.000 Na
0.584 0.712 0.000 Na
0.814 0.728 0.500 Na
0.913 0.186 0.500 Na
0.098 0.622 0.500 Tl
0.378 0.476 0.500 Tl
0.524 0.902 0.500 Tl
0.667 0.333 0.000 Tl
0.000 0.000 0.000 Pb
```



# NaTl4Pb4
Computed powder XRD pattern, CuKα. Input: a structure optimized by DFT (PBE).
Kinematic intensities with the Lorentz-polarization factor, no thermal factor.

Most intense lines, 10 to 80 degrees two-theta, low angle first:
11.6 deg, intensity 7
31.3 deg, intensity 100
35.3 deg, intensity 36
38.0 deg, intensity 15
50.8 deg, intensity 13
52.9 deg, intensity 23
60.9 deg, intensity 31
64.5 deg, intensity 13
65.2 deg, intensity 13
74.7 deg, intensity 4

Crystal structure
```
NaTl4Pb4
1.0
-5.390 5.390 2.366
5.390 -5.390 2.366
5.390 5.390 -2.366
Na Tl Pb
1 4 4
Direct
0.000 0.000 0.000 Na
0.333 0.333 0.666 Tl
0.333 0.667 0.000 Tl
0.667 0.333 0.000 Tl
0.667 0.667 0.334 Tl
0.000 0.336 0.336 Pb
0.000 0.664 0.664 Pb
0.336 0.000 0.336 Pb
0.664 0.000 0.664 Pb
```



# Na3Tl5Pb
Computed powder XRD pattern, CuKα. Input: a structure optimized by DFT (PBE).
Kinematic intensities with the Lorentz-polarization factor, no thermal factor.

Most intense lines, 10 to 80 degrees two-theta, low angle first:
18.9 deg, intensity 31
30.1 deg, intensity 100
32.3 deg, intensity 17
32.8 deg, intensity 37
38.1 deg, intensity 13
38.7 deg, intensity 14
47.1 deg, intensity 12
51.6 deg, intensity 18
52.7 deg, intensity 12
56.9 deg, intensity 20

Crystal structure
```
Na3Tl5Pb
1.0
7.716 0.000 0.000
0.000 7.716 0.000
0.000 0.000 9.302
Na Tl Pb
6 10 2
Direct
0.000 0.000 0.000 Na
0.127 0.373 0.500 Na
0.373 0.873 0.500 Na
0.500 0.500 0.000 Na
0.627 0.127 0.500 Na
0.873 0.627 0.500 Na
0.000 0.000 0.500 Tl
0.214 0.714 0.229 Tl
0.214 0.714 0.771 Tl
0.286 0.214 0.229 Tl
0.286 0.214 0.771 Tl
0.500 0.500 0.500 Tl
0.714 0.786 0.229 Tl
0.714 0.786 0.771 Tl
0.786 0.286 0.229 Tl
0.786 0.286 0.771 Tl
0.000 0.500 0.000 Pb
0.500 0.000 0.000 Pb
```



# Na3TlPb2
Computed powder XRD pattern, CuKα. Input: a structure optimized by DFT (PBE).
Kinematic intensities with the Lorentz-polarization factor, no thermal factor.

Most intense lines, 10 to 80 degrees two-theta, low angle first:
17.7 deg, intensity 41
20.8 deg, intensity 56
26.7 deg, intensity 20
29.9 deg, intensity 24
32.2 deg, intensity 37
33.3 deg, intensity 52
34.1 deg, intensity 100
52.0 deg, intensity 20
58.7 deg, intensity 20
62.5 deg, intensity 21

Crystal structure
```
Na3TlPb2
1.0
6.826 0.000 0.000
0.000 5.556 0.000
-1.710 0.000 9.233
Na Tl Pb
6 2 4
Direct
0.030 0.250 0.112 Na
0.212 0.250 0.767 Na
0.367 0.250 0.433 Na
0.633 0.750 0.567 Na
0.788 0.750 0.233 Na
0.970 0.750 0.888 Na
0.281 0.750 0.218 Tl
0.719 0.250 0.782 Tl
0.133 0.750 0.557 Pb
0.464 0.750 0.891 Pb
0.536 0.250 0.109 Pb
0.867 0.250 0.443 Pb
```